Diffraction record for Ce6TlSn2. The PXRD pattern is simulated, not measured: it uses a DFT-relaxed cell (GGA-PBE, Alexandria) and Cu Kα (weighted mean of Kα1 and Kα2).
Peak positions follow from Bragg's law for the DFT cell and can differ from measured ones.

Peak list (6 most intense, 2θ from 10° to 90°, by intensity)
two_theta, I_rel, index
34.10, 100.0, 3 0 0
61.01, 27.3, 3 3 0
49.01, 17.2, 2 2 1
68.43, 14.0, 3 0 2
81.88, 7.6, 5 2 1
88.60, 7.1, 3 3 2

Structure:
Cell lengths 9.117, 9.117, 3.212 Å; angles 90.00, 90.00, 120.00 degrees
Fractional coordinates of all 9 atoms:
Ce1 0.000 0.344 0.000
Ce2 0.000 0.656 0.000
Ce3 0.344 0.000 0.000
Ce4 0.344 0.344 0.000
Ce5 0.656 0.000 0.000
Ce6 0.656 0.656 0.000
Tl1 0.000 0.000 0.500
Sn1 0.333 0.667 0.500
Sn2 0.667 0.333 0.500